# Mg14TiBO16
Theoretical XRD peak list, Cu Kα, 1.54184 Å. Input: the PBE geometry in the Materials Project.
Intensities are scaled so that the largest is 100.

Crystal structure
Unit cell a=8.572 b=8.572 c=4.246 alpha=90.00 beta=90.00 gamma=90.00
Atoms (fractional coordinates):
Mg1 0.000 0.246 0.000
Mg2 0.000 0.500 0.500
Mg3 0.000 0.754 0.000
Mg4 0.243 0.243 0.500
Mg5 0.243 0.757 0.500
Mg6 0.246 0.000 0.000
Mg7 0.246 0.500 0.000
Mg8 0.500 0.000 0.500
Mg9 0.500 0.246 0.000
Mg10 0.500 0.754 0.000
Mg11 0.754 0.000 0.000
Mg12 0.754 0.500 0.000
Mg13 0.757 0.243 0.500
Mg14 0.757 0.757 0.500
Ti1 0.500 0.500 0.500
B1 0.000 0.000 0.500
O1 0.000 0.000 0.000
O2 0.000 0.264 0.500
O3 0.000 0.500 0.000
O4 0.000 0.736 0.500
O5 0.250 0.250 0.000
O6 0.250 0.750 0.000
O7 0.255 0.500 0.500
O8 0.264 0.000 0.500
O9 0.500 0.000 0.000
O10 0.500 0.255 0.500
O11 0.500 0.500 0.000
O12 0.500 0.745 0.500
O13 0.736 0.000 0.500
O14 0.745 0.500 0.500
O15 0.750 0.250 0.000
O16 0.750 0.750 0.000

Principal peaks in the range 2θ from 15° to 90°, by angle:
| Position (°2θ) | Rel. int. |
| --- | --- |
| 23.20 | 4 |
| 23.38 | 4 |
| 31.44 | 5 |
| 36.42 | 16 |
| 42.17 | 100 |
| 42.58 | 49 |
| 61.16 | 28 |
| 61.48 | 55 |
| 73.32 | 7 |
| 77.37 | 25 |

# MgTiBO4
Theoretical XRD peak list, Cu Kα, 1.54184 Å. Input: the PBE geometry in the Materials Project.
Intensities are scaled so that the largest is 100.

Crystal structure
Unit cell a=3.128 b=9.511 c=9.453 alpha=90.00 beta=90.00 gamma=90.00
Atoms (fractional coordinates):
Mg1 0.000 0.059 0.000
Mg2 0.000 0.316 0.521
Mg3 0.000 0.684 0.021
Mg4 0.000 0.941 0.500
Ti1 0.500 0.180 0.286
Ti2 0.500 0.443 0.797
Ti3 0.500 0.557 0.297
Ti4 0.500 0.820 0.786
B1 0.000 0.373 0.068
B2 0.000 0.627 0.568
B3 0.500 0.126 0.732
B4 0.500 0.874 0.232
O1 0.000 0.133 0.404
O2 0.000 0.243 0.133
O3 0.000 0.381 0.922
O4 0.000 0.499 0.143
O5 0.000 0.501 0.643
O6 0.000 0.619 0.422
O7 0.000 0.757 0.633
O8 0.000 0.867 0.904
O9 0.500 0.001 0.651
O10 0.500 0.119 0.875
O11 0.500 0.257 0.662
O12 0.500 0.369 0.373
O13 0.500 0.631 0.873
O14 0.500 0.743 0.162
O15 0.500 0.881 0.375
O16 0.500 0.999 0.151

Principal peaks in the range 2θ from 15° to 90°, by angle:
| Position (°2θ) | Rel. int. |
| --- | --- |
| 20.92 | 33 |
| 29.72 | 27 |
| 34.07 | 52 |
| 34.38 | 100 |
| 42.56 | 21 |
| 45.06 | 31 |
| 50.17 | 23 |
| 56.81 | 25 |
| 59.07 | 26 |
| 60.43 | 23 |

# Mg6TiBO8
Theoretical XRD peak list, Cu Kα, 1.54184 Å. Input: the PBE geometry in the Materials Project.
Intensities are scaled so that the largest is 100.

Crystal structure
Unit cell a=4.230 b=4.230 c=8.737 alpha=90.00 beta=90.00 gamma=90.00
Atoms (fractional coordinates):
Mg1 0.000 0.000 0.000
Mg2 0.000 0.500 0.250
Mg3 0.000 0.500 0.750
Mg4 0.500 0.000 0.250
Mg5 0.500 0.000 0.750
Mg6 0.500 0.500 0.000
Ti1 0.000 0.000 0.500
B1 0.500 0.500 0.500
O1 0.000 0.000 0.255
O2 0.000 0.000 0.745
O3 0.000 0.500 0.000
O4 0.000 0.500 0.500
O5 0.500 0.000 0.000
O6 0.500 0.000 0.500
O7 0.500 0.500 0.236
O8 0.500 0.500 0.764

Principal peaks in the range 2θ from 15° to 90°, by angle:
| Position (°2θ) | Rel. int. |
| --- | --- |
| 21.00 | 9 |
| 23.37 | 17 |
| 29.39 | 8 |
| 36.41 | 17 |
| 41.33 | 55 |
| 42.76 | 100 |
| 60.98 | 58 |
| 62.06 | 28 |
| 74.14 | 7 |
| 77.33 | 26 |

# Mg14TiBO16
Theoretical XRD peak list, Cu Kα, 1.54184 Å. Input: the PBE geometry in the Materials Project.
Intensities are scaled so that the largest is 100.

Crystal structure
Unit cell a=4.247 b=8.580 c=8.604 alpha=90.00 beta=90.00 gamma=90.00
Atoms (fractional coordinates):
Mg1 0.000 0.000 0.000
Mg2 0.000 0.000 0.500
Mg3 0.000 0.250 0.243
Mg4 0.000 0.250 0.757
Mg5 0.000 0.750 0.243
Mg6 0.000 0.750 0.757
Mg7 0.500 0.000 0.248
Mg8 0.500 0.000 0.752
Mg9 0.500 0.247 0.500
Mg10 0.500 0.254 0.000
Mg11 0.500 0.500 0.240
Mg12 0.500 0.500 0.760
Mg13 0.500 0.746 0.000
Mg14 0.500 0.753 0.500
Ti1 0.000 0.500 0.500
B1 0.000 0.500 0.000
O1 0.000 0.000 0.254
O2 0.000 0.000 0.746
O3 0.000 0.235 0.000
O4 0.000 0.252 0.500
O5 0.000 0.500 0.269
O6 0.000 0.500 0.731
O7 0.000 0.748 0.500
O8 0.000 0.765 0.000
O9 0.500 0.000 0.000
O10 0.500 0.000 0.500
O11 0.500 0.252 0.251
O12 0.500 0.252 0.749
O13 0.500 0.500 0.000
O14 0.500 0.500 0.500
O15 0.500 0.748 0.251
O16 0.500 0.748 0.749

Principal peaks in the range 2θ from 15° to 90°, by angle:
| Position (°2θ) | Rel. int. |
| --- | --- |
| 25.59 | 8 |
| 36.36 | 29 |
| 42.01 | 91 |
| 42.13 | 91 |
| 42.57 | 89 |
| 61.01 | 50 |
| 61.39 | 100 |
| 73.06 | 7 |
| 73.23 | 7 |
| 77.22 | 45 |

# Mg2TiBO5
Theoretical XRD peak list, Cu Kα, 1.54184 Å. Input: the PBE geometry in the Materials Project.
Intensities are scaled so that the largest is 100.

Crystal structure
Unit cell a=9.388 b=12.476 c=3.051 alpha=90.00 beta=90.00 gamma=90.00
Atoms (fractional coordinates):
Mg1 0.000 0.000 0.000
Mg2 0.000 0.500 0.500
Mg3 0.003 0.218 0.500
Mg4 0.497 0.718 0.500
Mg5 0.500 0.000 0.500
Mg6 0.500 0.500 0.000
Mg7 0.503 0.282 0.500
Mg8 0.997 0.782 0.500
Ti1 0.240 0.385 0.000
Ti2 0.260 0.885 0.000
Ti3 0.740 0.115 0.000
Ti4 0.760 0.615 0.000
B1 0.226 0.640 0.000
B2 0.274 0.140 0.000
B3 0.726 0.860 0.000
B4 0.774 0.360 0.000
O1 0.106 0.357 0.500
O2 0.116 0.923 0.500
O3 0.127 0.142 0.000
O4 0.149 0.543 0.000
O5 0.150 0.736 0.000
O6 0.350 0.236 0.000
O7 0.351 0.043 0.000
O8 0.373 0.642 0.000
O9 0.384 0.423 0.500
O10 0.394 0.857 0.500
O11 0.606 0.143 0.500
O12 0.616 0.577 0.500
O13 0.627 0.358 0.000
O14 0.649 0.957 0.000
O15 0.650 0.764 0.000
O16 0.850 0.264 0.000
O17 0.851 0.457 0.000
O18 0.873 0.858 0.000
O19 0.884 0.077 0.500
O20 0.894 0.643 0.500

Principal peaks in the range 2θ from 15° to 90°, by angle:
| Position (°2θ) | Rel. int. |
| --- | --- |
| 17.07 | 88 |
| 34.53 | 82 |
| 35.08 | 100 |
| 40.96 | 34 |
| 43.91 | 65 |
| 46.99 | 28 |
| 57.70 | 34 |
| 60.71 | 30 |
| 61.01 | 30 |
| 62.20 | 23 |

# Mg6TiBO8
Theoretical XRD peak list, Cu Kα, 1.54184 Å. Input: the PBE geometry in the Materials Project.
Intensities are scaled so that the largest is 100.

Crystal structure
Unit cell a=4.236 b=4.236 c=8.766 alpha=90.00 beta=90.00 gamma=90.00
Atoms (fractional coordinates):
Mg1 0.000 0.000 0.000
Mg2 0.000 0.000 0.500
Mg3 0.000 0.500 0.237
Mg4 0.000 0.500 0.763
Mg5 0.500 0.000 0.237
Mg6 0.500 0.000 0.763
Ti1 0.500 0.500 0.500
B1 0.500 0.500 0.000
O1 0.000 0.000 0.250
O2 0.000 0.000 0.750
O3 0.000 0.500 0.000
O4 0.000 0.500 0.500
O5 0.500 0.000 0.000
O6 0.500 0.000 0.500
O7 0.500 0.500 0.267
O8 0.500 0.500 0.733

Principal peaks in the range 2θ from 15° to 90°, by angle:
| Position (°2θ) | Rel. int. |
| --- | --- |
| 23.32 | 17 |
| 31.56 | 11 |
| 36.33 | 17 |
| 41.19 | 54 |
| 42.69 | 100 |
| 60.82 | 56 |
| 61.26 | 5 |
| 61.96 | 28 |
| 73.99 | 7 |
| 77.14 | 25 |

# MgB4Os3
Theoretical XRD peak list, Cu Kα, 1.54184 Å. Input: the PBE geometry in the Materials Project.
Intensities are scaled so that the largest is 100.

Crystal structure
Unit cell a=6.134 b=6.134 c=9.807 alpha=90.00 beta=90.00 gamma=152.45
Atoms (fractional coordinates):
Mg1 0.000 0.000 0.000
Mg2 0.000 0.000 0.500
B1 0.123 0.877 0.750
B2 0.154 0.846 0.250
B3 0.341 0.659 0.611
B4 0.341 0.659 0.889
B5 0.659 0.341 0.111
B6 0.659 0.341 0.389
B7 0.846 0.154 0.750
B8 0.877 0.123 0.250
Os1 0.300 0.700 0.107
Os2 0.300 0.700 0.393
Os3 0.484 0.516 0.750
Os4 0.516 0.484 0.250
Os5 0.700 0.300 0.607
Os6 0.700 0.300 0.893

Principal peaks in the range 2θ from 15° to 90°, by angle:
| Position (°2θ) | Rel. int. |
| --- | --- |
| 23.50 | 77 |
| 31.21 | 38 |
| 31.38 | 61 |
| 31.53 | 57 |
| 32.86 | 51 |
| 39.76 | 95 |
| 42.17 | 74 |
| 42.61 | 55 |
| 49.35 | 59 |
| 54.02 | 100 |

# RbMg14B
Theoretical XRD peak list, Cu Kα, 1.54184 Å. Input: the PBE geometry in the Materials Project.
Intensities are scaled so that the largest is 100.

Crystal structure
Unit cell a=10.299 b=6.684 c=6.684 alpha=56.38 beta=90.00 gamma=90.00
Atoms (fractional coordinates):
Rb1 0.000 0.000 0.000
Mg1 0.000 0.000 0.496
Mg2 0.000 0.496 0.000
Mg3 0.223 0.623 0.623
Mg4 0.252 0.144 0.619
Mg5 0.252 0.619 0.144
Mg6 0.272 0.143 0.143
Mg7 0.500 0.474 0.474
Mg8 0.500 0.480 0.967
Mg9 0.500 0.967 0.480
Mg10 0.500 0.967 0.967
Mg11 0.728 0.143 0.143
Mg12 0.748 0.144 0.619
Mg13 0.748 0.619 0.144
Mg14 0.777 0.623 0.623
B1 0.000 0.397 0.397

Principal peaks in the range 2θ from 15° to 90°, by angle:
| Position (°2θ) | Rel. int. |
| --- | --- |
| 18.12 | 22 |
| 23.54 | 20 |
| 28.12 | 18 |
| 30.60 | 19 |
| 32.17 | 42 |
| 34.84 | 44 |
| 35.10 | 75 |
| 36.71 | 100 |
| 48.15 | 24 |
| 70.05 | 18 |